For Pu5Ge3Pd, a crystal structure in Alexandria, relaxed with PBE gives the computed X-ray powder pattern in this record (λ = 1.5418 Å (Cu Kα)).
No peak broadening, texture or thermal motion is included.

Most intense lines, 10 to 90 degrees two-theta, in order of rising 2θ:
| 2theta | I/Imax |
| --- | --- |
| 24.89 | 36 |
| 30.43 | 11 |
| 34.06 | 42 |
| 34.63 | 89 |
| 36.32 | 100 |
| 51.06 | 32 |
| 53.68 | 13 |
| 56.64 | 11 |
| 63.16 | 22 |
| 69.14 | 13 |
| 73.63 | 22 |
| 84.44 | 12 |

Atomic structure:
abc: 8.9736 8.9736 5.9288
angles: 90.00 90.00 120.00
Fractional positions:
Pu  0.0000  0.2819  0.2500
Pu  0.0000  0.7181  0.7500
Pu  0.2819  0.0000  0.2500
Pu  0.2819  0.2819  0.7500
Pu  0.3333  0.6667  0.0000
Pu  0.3333  0.6667  0.5000
Pu  0.6667  0.3333  0.0000
Pu  0.6667  0.3333  0.5000
Pu  0.7181  0.0000  0.7500
Pu  0.7181  0.7181  0.2500
Ge  0.0000  0.3826  0.7500
Ge  0.0000  0.6174  0.2500
Ge  0.3826  0.0000  0.7500
Ge  0.3826  0.3826  0.2500
Ge  0.6174  0.0000  0.2500
Ge  0.6174  0.6174  0.7500
Pd  0.0000  0.0000  0.0000
Pd  0.0000  0.0000  0.5000

=====

For Rb2CuBiBr6, a crystal structure in Alexandria, relaxed with PBE gives the computed X-ray powder pattern in this record (λ = 1.5418 Å (Cu Kα)).
No peak broadening, texture or thermal motion is included.

Most intense lines, 10 to 90 degrees two-theta, in order of rising 2θ:
| 2theta | I/Imax |
| --- | --- |
| 15.99 | 44 |
| 22.68 | 45 |
| 26.66 | 16 |
| 27.87 | 34 |
| 32.29 | 100 |
| 36.23 | 23 |
| 39.83 | 21 |
| 46.32 | 71 |
| 54.93 | 13 |
| 57.59 | 24 |
| 76.90 | 31 |
| 85.88 | 23 |

Atomic structure:
abc: 7.8407 7.8407 7.8407
angles: 60.00 60.00 60.00
Fractional positions:
Rb  0.2500  0.2500  0.2500
Rb  0.7500  0.7500  0.7500
Cu  0.0000  0.0000  0.0000
Bi  0.5000  0.5000  0.5000
Br  0.2396  0.2396  0.7604
Br  0.2396  0.7604  0.2396
Br  0.2396  0.7604  0.7604
Br  0.7604  0.2396  0.2396
Br  0.7604  0.2396  0.7604
Br  0.7604  0.7604  0.2396

=====

For TcPt2Rh2W, a crystal structure in Alexandria, relaxed with PBE gives the computed X-ray powder pattern in this record (λ = 1.5418 Å (Cu Kα)).
No peak broadening, texture or thermal motion is included.

Most intense lines, 10 to 90 degrees two-theta, in order of rising 2θ:
| 2theta | I/Imax |
| --- | --- |
| 24.21 | 21 |
| 36.66 | 74 |
| 38.78 | 27 |
| 39.53 | 100 |
| 40.33 | 29 |
| 40.76 | 44 |
| 41.41 | 52 |
| 42.24 | 33 |
| 44.15 | 24 |
| 45.47 | 63 |
| 47.07 | 23 |
| 70.03 | 20 |

Atomic structure:
abc: 4.9479 5.1505 7.4218
angles: 90.00 97.80 90.00
Fractional positions:
Tc  0.1012  0.2500  0.4248
Tc  0.8988  0.7500  0.5752
Pt  0.4561  0.5013  0.6808
Pt  0.4561  0.9987  0.6808
Pt  0.5439  0.0013  0.3192
Pt  0.5439  0.4987  0.3192
Rh  0.1161  0.7500  0.9056
Rh  0.3584  0.2500  0.9899
Rh  0.6416  0.7500  0.0101
Rh  0.8839  0.2500  0.0944
W  0.0620  0.7500  0.2694
W  0.9380  0.2500  0.7306

=====

For Cd6Rh7, a crystal structure in Alexandria, relaxed with PBE gives the computed X-ray powder pattern in this record (λ = 1.5418 Å (Cu Kα)).
No peak broadening, texture or thermal motion is included.

Most intense lines, 10 to 90 degrees two-theta, in order of rising 2θ:
| 2theta | I/Imax |
| --- | --- |
| 33.69 | 47 |
| 37.88 | 44 |
| 39.06 | 100 |
| 39.24 | 39 |
| 40.81 | 39 |
| 41.30 | 22 |
| 42.49 | 45 |
| 45.56 | 22 |
| 63.04 | 17 |
| 63.87 | 18 |
| 65.11 | 19 |
| 70.84 | 40 |

Atomic structure:
abc: 9.7373 9.7373 9.7373
angles: 31.71 31.71 31.71
Fractional positions:
Cd  0.0516  0.0516  0.0516
Cd  0.1538  0.1538  0.1538
Cd  0.3354  0.3354  0.3354
Cd  0.6646  0.6646  0.6646
Cd  0.8462  0.8462  0.8462
Cd  0.9484  0.9484  0.9484
Rh  0.0853  0.5929  0.5929
Rh  0.4071  0.4071  0.9147
Rh  0.4071  0.9147  0.4071
Rh  0.5000  0.5000  0.5000
Rh  0.5929  0.0853  0.5929
Rh  0.5929  0.5929  0.0853
Rh  0.9147  0.4071  0.4071